1.
This entry pairs a crystal structure of Rb2NaAuBr6 with its simulated XRD peak list. Radiation: Cu Kα. Structure: the GGA-PBE geometry in the Materials Project.

Peak list (12 most intense, 2θ from 15° to 90°, sorted by position)
| 2theta | intensity |
| --- | --- |
| 15.9 | 32 |
| 22.6 | 33 |
| 26.6 | 22 |
| 27.8 | 49 |
| 32.2 | 100 |
| 36.1 | 17 |
| 42.3 | 15 |
| 46.2 | 71 |
| 54.8 | 20 |
| 57.4 | 24 |
| 76.7 | 31 |
| 85.6 | 23 |

Structural model:
```
10
Lattice="0.000 5.557 5.557 5.557 0.000 5.557 5.557 5.557 0.000" Properties=species:S:1:pos:R:3 pbc="T T T"
Rb 2.779 2.779 2.779
Rb 8.336 8.336 8.336
Na 0.000 0.000 0.000
Au 5.557 5.557 5.557
Br 5.557 5.557 2.893
Br 5.557 2.893 5.557
Br 8.222 5.557 5.557
Br 2.893 5.557 5.557
Br 5.557 8.222 5.557
Br 5.557 5.557 8.222
```


2.
This entry pairs a crystal structure of RbAuBr4 with its simulated XRD peak list. Radiation: Cu Kα. Structure: the GGA-PBE geometry in the Materials Project.

Peak list (12 most intense, 2θ from 15° to 90°, sorted by position)
| 2theta | intensity |
| --- | --- |
| 16.9 | 66 |
| 18.2 | 79 |
| 19.3 | 22 |
| 21.7 | 23 |
| 27.6 | 45 |
| 28.3 | 100 |
| 34.2 | 37 |
| 40.0 | 30 |
| 44.2 | 33 |
| 51.2 | 30 |
| 56.7 | 25 |
| 57.9 | 25 |

Structural model:
```
12
Lattice="7.683 0.000 0.000 0.000 6.375 0.000 -5.900 0.000 9.203" Properties=species:S:1:pos:R:3 pbc="T T T"
Rb 0.000 0.000 0.000
Rb -2.950 3.187 4.602
Au 0.892 0.000 4.602
Au 3.842 3.187 0.000
Br -1.313 0.096 3.484
Br -4.263 3.091 8.085
Br 1.599 4.581 3.036
Br -1.351 4.981 7.638
Br 3.135 1.394 1.566
Br 0.185 1.794 6.167
Br 6.047 3.283 1.118
Br 3.097 6.279 5.720
```


3.
This entry pairs a crystal structure of Rb2YAuBr6 with its simulated XRD peak list. Radiation: Cu Kα. Structure: the GGA-PBE geometry in the Materials Project.

Peak list (12 most intense, 2θ from 15° to 90°, sorted by position)
| 2theta | intensity |
| --- | --- |
| 15.7 | 47 |
| 22.2 | 47 |
| 27.3 | 31 |
| 31.6 | 100 |
| 35.5 | 25 |
| 39.0 | 22 |
| 45.3 | 72 |
| 48.2 | 13 |
| 53.7 | 13 |
| 56.3 | 25 |
| 75.0 | 32 |
| 83.7 | 25 |

Structural model:
```
10
Lattice="0.000 5.661 5.661 5.661 0.000 5.661 5.661 5.661 0.000" Properties=species:S:1:pos:R:3 pbc="T T T"
Rb 2.831 2.831 2.831
Rb 8.492 8.492 8.492
Y 0.000 0.000 0.000
Au 5.661 5.661 5.661
Br 5.661 5.661 2.798
Br 5.661 2.798 5.661
Br 8.524 5.661 5.661
Br 2.798 5.661 5.661
Br 5.661 8.524 5.661
Br 5.661 5.661 8.524
```


4.
This entry pairs a crystal structure of AuC2 with its simulated XRD peak list. Radiation: Cu Kα. Structure: the GGA-PBE geometry in the Materials Project.

Peak list (12 most intense, 2θ from 15° to 90°, sorted by position)
| 2theta | intensity |
| --- | --- |
| 17.1 | 43 |
| 23.4 | 100 |
| 29.1 | 77 |
| 41.1 | 23 |
| 42.2 | 35 |
| 44.8 | 25 |
| 47.8 | 14 |
| 51.1 | 18 |
| 54.8 | 16 |
| 58.8 | 15 |
| 67.6 | 16 |
| 75.6 | 13 |

Structural model:
```
3
Lattice="4.396 0.000 0.000 -2.198 3.807 0.000 0.000 0.000 5.172" Properties=species:S:1:pos:R:3 pbc="T T T"
Au 0.000 0.000 0.000
C 0.000 0.000 1.949
C 0.000 0.000 3.223
```


5.
This entry pairs a crystal structure of AuC with its simulated XRD peak list. Radiation: Cu Kα. Structure: the GGA-PBE geometry in the Materials Project.

Peak list (12 most intense, 2θ from 15° to 90°, sorted by position)
| 2theta | intensity |
| --- | --- |
| 30.0 | 27 |
| 30.5 | 31 |
| 33.7 | 100 |
| 43.3 | 18 |
| 53.3 | 22 |
| 56.3 | 27 |
| 62.6 | 24 |
| 64.6 | 16 |
| 81.2 | 10 |
| 87.4 | 10 |
| 88.4 | 15 |
| 89.9 | 8 |

Structural model:
```
4
Lattice="3.440 0.000 0.000 -1.720 2.979 0.000 0.000 0.000 5.862" Properties=species:S:1:pos:R:3 pbc="T T T"
Au 0.000 1.986 0.000
Au 1.720 0.993 2.931
C 0.000 1.986 2.140
C 1.720 0.993 5.071
```


6.
This entry pairs a crystal structure of KCdAu3C6N6 with its simulated XRD peak list. Radiation: Cu Kα. Structure: the GGA-PBE geometry in the Materials Project.

Peak list (12 most intense, 2θ from 15° to 90°, sorted by position)
| 2theta | intensity |
| --- | --- |
| 17.9 | 100 |
| 22.1 | 42 |
| 26.9 | 52 |
| 28.3 | 77 |
| 30.4 | 76 |
| 36.2 | 87 |
| 39.4 | 23 |
| 44.3 | 23 |
| 50.1 | 17 |
| 54.1 | 29 |
| 55.4 | 32 |
| 84.8 | 16 |

Structural model:
```
17
Lattice="7.283 0.000 0.000 -3.641 6.307 0.000 0.000 0.000 8.043" Properties=species:S:1:pos:R:3 pbc="T T T"
K 0.000 0.000 0.000
Cd 3.641 2.102 0.000
Au 0.000 2.159 4.021
Au -1.772 5.228 4.021
Au 1.772 5.228 4.021
C -1.062 2.129 5.702
C -2.329 4.323 2.340
C 1.062 2.129 2.340
C -1.266 6.163 5.702
C 2.329 4.323 5.702
C 1.266 6.163 2.340
N 2.656 0.449 6.674
N 1.717 2.076 1.368
N 4.627 0.449 1.368
N 2.702 3.782 6.674
N 5.566 2.076 6.674
N 4.581 3.782 1.368
```